Theoretical PXRD pattern
Compound: Ba2MgCd6
Radiation: Cu Kα
Structure: a crystal structure in Alexandria, relaxed with PBE
Peak positions follow from Bragg's law for the DFT cell and can differ from measured ones.

Top 6 peaks for 2θ from 5° to 70°, sorted by position:
2θ/deg	I/Imax
29.8	27.1
30.1	49.7
31.0	25.9
33.7	100.0
49.5	17.6
55.2	22.3

Cell lengths 6.653, 6.653, 6.920 Å; angles 90.00, 90.00, 120.00 degrees
Atoms (fractional coordinates):
Ba  0.333  0.667  0.144
Ba  0.667  0.333  0.856
Mg  0.000  0.000  0.000
Cd  0.175  0.349  0.662
Cd  0.175  0.825  0.662
Cd  0.349  0.175  0.338
Cd  0.651  0.825  0.662
Cd  0.825  0.175  0.338
Cd  0.825  0.651  0.338

***

Theoretical PXRD pattern
Compound: MgTePb2
Radiation: Cu Kα
Structure: a crystal structure in Alexandria, relaxed with PBE
Peak positions follow from Bragg's law for the DFT cell and can differ from measured ones.

Top 6 peaks for 2θ from 5° to 70°, sorted by position:
2θ/deg	I/Imax
12.6	44.1
30.4	100.0
33.3	53.1
33.4	52.6
40.0	24.9
44.3	25.7

Cell lengths 4.142, 4.174, 7.041 Å; angles 90.00, 90.00, 90.00 degrees
Atoms (fractional coordinates):
Mg  0.000  0.000  0.000
Te  0.500  0.500  0.122
Pb  0.000  0.000  0.500
Pb  0.500  0.500  0.687

***

Theoretical PXRD pattern
Compound: Ce2MgB2O6
Radiation: Cu Kα
Structure: a crystal structure in Alexandria, relaxed with PBE
Peak positions follow from Bragg's law for the DFT cell and can differ from measured ones.

Top 6 peaks for 2θ from 5° to 70°, sorted by position:
2θ/deg	I/Imax
22.2	39.7
23.2	100.0
30.3	48.4
35.6	32.4
39.6	29.4
42.9	37.5

Cell lengths 5.050, 5.050, 8.002 Å; angles 90.00, 90.00, 120.00 degrees
Atoms (fractional coordinates):
Ce  0.333  0.667  0.225
Ce  0.667  0.333  0.775
Mg  0.000  0.000  0.500
B  0.333  0.667  0.662
B  0.667  0.333  0.338
O  0.108  0.362  0.662
O  0.254  0.892  0.662
O  0.362  0.254  0.338
O  0.638  0.746  0.662
O  0.746  0.108  0.338
O  0.892  0.638  0.338

***

Theoretical PXRD pattern
Compound: HfZr3Tl3Se8
Radiation: Cu Kα
Structure: a crystal structure in Alexandria, relaxed with PBE
Peak positions follow from Bragg's law for the DFT cell and can differ from measured ones.

Top 6 peaks for 2θ from 5° to 70°, sorted by position:
2θ/deg	I/Imax
14.0	19.7
30.8	100.0
39.8	39.3
48.1	31.1
58.2	16.3
64.2	9.7

Cell lengths 7.563, 7.563, 9.435 Å; angles 113.74, 113.74, 60.00 degrees
Atoms (fractional coordinates):
Hf  0.000  0.000  0.000
Zr  0.000  0.500  0.000
Zr  0.500  0.000  0.000
Zr  0.500  0.500  0.000
Tl  0.000  0.000  0.500
Tl  0.000  0.500  0.500
Tl  0.500  0.000  0.500
Se  0.230  0.736  0.196
Se  0.231  0.231  0.196
Se  0.264  0.770  0.804
Se  0.267  0.267  0.804
Se  0.733  0.733  0.196
Se  0.736  0.230  0.196
Se  0.769  0.769  0.804
Se  0.770  0.264  0.804